Diffraction record for BaFe4O7. The PXRD pattern is theoretical, not measured: it uses DFT lattice parameters and positions (PBE+U) and a wavelength of 1.5418 Å.
Intensities are scaled so that the largest is 100.

```
24
Lattice="5.117 0.000 0.000 -2.558 4.431 0.000 0.000 0.000 13.937" Properties=species:S:1:pos:R:3 pbc="T T T"
Ba 0.000 2.954 3.484
Ba 2.558 1.477 10.452
Fe 0.000 0.000 1.569
Fe 0.000 0.000 5.399
Fe 0.000 0.000 8.538
Fe 0.000 0.000 12.367
Fe 0.000 2.954 7.014
Fe 0.000 2.954 13.891
Fe 2.558 1.477 0.045
Fe 2.558 1.477 6.923
O 0.000 0.000 3.484
O 0.000 0.000 10.452
O -1.613 2.858 1.096
O -1.613 2.858 5.872
O 0.890 1.606 1.096
O 0.890 1.606 5.872
O 1.836 0.032 8.065
O 1.836 0.032 12.840
O 0.722 4.399 1.096
O 0.722 4.399 5.872
O 1.668 2.825 8.065
O 1.668 2.825 12.840
O 4.171 1.574 8.065
O 4.171 1.574 12.840
```

Most intense lines, 15 to 90 degrees two-theta, sorted by position:
| Position (°2θ) | I/Imax |
| --- | --- |
| 21.0 | 82 |
| 27.8 | 45 |
| 32.7 | 100 |
| 35.1 | 99 |
| 38.1 | 15 |
| 41.3 | 13 |
| 43.9 | 27 |
| 45.3 | 13 |
| 48.7 | 35 |
| 61.4 | 31 |
| 62.9 | 30 |
| 64.7 | 40 |